# LaPr3Ho8
Simulated powder diffractogram, CuKα. Input: a DFT-relaxed cell (PBE, Alexandria).
Intensities are scaled so that the largest is 100.

Principal peaks in the range 10 to 80 degrees two-theta, low angle first:
(1 2 2), 2θ 28.22, 3.162 Å, I 23.7; (0 2 -2), 2θ 31.15, 2.871 Å, I 24.5; (2 2 0), 2θ 32.32, 2.770 Å, I 100.0; (1 4 0), 2θ 42.53, 2.126 Å, I 15.7; (3 3 3), 2θ 49.96, 1.826 Å, I 19.7; (2 4 -2), 2θ 56.17, 1.637 Å, I 20.9; (3 1 5), 2θ 60.04, 1.541 Å, I 18.9; (3 5 1), 2θ 60.12, 1.539 Å, I 3.8; (2 3 5), 2θ 60.75, 1.525 Å, I 13.6; (2 1 7), 2θ 78.43, 1.219 Å, I 5.2

Crystal structure
Lattice parameters (Å, degrees): 6.3240 8.5338 8.5448 84.51 68.32 68.34
Positions (direct):
La  0.0000  0.0000  0.0000
Pr  0.9998  0.5001  0.4998
Pr  0.6577  0.2523  0.7505
Pr  0.6580  0.7520  0.2506
Ho  0.3233  0.1698  0.1695
Ho  0.3251  0.6685  0.6681
Ho  0.3325  0.0839  0.5812
Ho  0.3326  0.5826  0.0825
Ho  0.6616  0.3328  0.3316
Ho  0.6623  0.8315  0.8303
Ho  0.9949  0.4205  0.9188
Ho  0.9952  0.9190  0.4201

# Li3Zn2Cd2
Simulated powder diffractogram, CuKα. Input: a DFT-relaxed cell (PBE, Alexandria).
Intensities are scaled so that the largest is 100.

Principal peaks in the range 10 to 80 degrees two-theta, low angle first:
(0 0 2), 2θ 18.82, 4.715 Å, I 97.2; (1 0 1), 2θ 24.14, 3.686 Å, I 59.3; (1 0 -2), 2θ 24.30, 3.663 Å, I 58.1; (0 1 2), 2θ 36.86, 2.438 Å, I 26.0; (1 1 0), 2θ 37.60, 2.392 Å, I 100.0; (1 0 3), 2θ 38.78, 2.322 Å, I 47.5; (1 0 -4), 2θ 39.01, 2.309 Å, I 46.7; (2 0 -1), 2θ 39.81, 2.265 Å, I 44.1; (1 1 -2), 2θ 40.05, 2.252 Å, I 39.3; (0 1 3), 2θ 42.84, 2.111 Å, I 34.4

Crystal structure
Lattice parameters (Å, degrees): 4.5291 2.8490 9.6833 90.00 103.15 90.00
Positions (direct):
Li  0.0000  0.0000  0.0000
Li  0.2880  0.0000  0.5766
Li  0.7120  0.0000  0.4234
Zn  0.4307  0.0000  0.8598
Zn  0.5693  0.0000  0.1402
Cd  0.1428  0.5000  0.2871
Cd  0.8572  0.5000  0.7129